No. 1
Structure and simulated X-ray powder pattern of CoO2 (a crystal structure in the Materials Project, relaxed with PBE+U; Cu Kα (λ = 1.5418 Å)).
Neutral-atom scattering factors, no anomalous dispersion.

abc: 2.817 2.847 19.200
angles: 87.22 86.95 61.44
Fractional positions:
Co (0.000, 0.000, 0.000)
Co (0.250, 0.249, 0.251)
Co (0.500, 0.499, 0.501)
Co (0.750, 0.749, 0.751)
O (0.071, 0.075, 0.800)
O (0.179, 0.174, 0.452)
O (0.321, 0.324, 0.047)
O (0.429, 0.424, 0.702)
O (0.572, 0.518, 0.304)
O (0.679, 0.675, 0.953)
O (0.821, 0.825, 0.549)
O (0.929, 0.980, 0.198)

The 8 most intense peaks (10 to 90 degrees two-theta), low angle first:
d = 4.792 Å, 18.52 deg, intensity 100
d = 2.470 Å, 36.37 deg, intensity 11
d = 2.442 Å, 36.81 deg, intensity 10
d = 2.389 Å, 37.65 deg, intensity 10
d = 2.069 Å, 43.75 deg, intensity 15
d = 2.046 Å, 44.27 deg, intensity 15
d = 1.992 Å, 45.54 deg, intensity 13
d = 1.447 Å, 64.37 deg, intensity 11

No. 2
Structure and simulated X-ray powder pattern of CoO2 (a crystal structure in the Materials Project, relaxed with PBE+U; Cu Kα (λ = 1.5418 Å)).
Neutral-atom scattering factors, no anomalous dispersion.

abc: 2.845 2.845 5.518
angles: 105.29 105.29 59.39
Fractional positions:
Co (0.000, 0.000, 0.000)
O (0.393, 0.393, 0.179)
O (0.607, 0.607, 0.821)

The 8 most intense peaks (10 to 90 degrees two-theta), low angle first:
d = 5.257 Å, 16.86 deg, intensity 100
d = 2.419 Å, 37.17 deg, intensity 6
d = 2.355 Å, 38.22 deg, intensity 10
d = 2.340 Å, 38.47 deg, intensity 19
d = 1.941 Å, 46.81 deg, intensity 9
d = 1.937 Å, 46.91 deg, intensity 18
d = 1.537 Å, 60.19 deg, intensity 9
d = 1.422 Å, 65.64 deg, intensity 6

No. 3
Structure and simulated X-ray powder pattern of CoO2 (a crystal structure in the Materials Project, relaxed with PBE+U; Cu Kα (λ = 1.5418 Å)).
Neutral-atom scattering factors, no anomalous dispersion.

abc: 2.859 2.859 11.168
angles: 99.70 99.70 65.17
Fractional positions:
Co (0.000, 0.000, 0.000)
O (0.268, 0.268, 0.910)
O (0.732, 0.732, 0.090)

The 8 most intense peaks (10 to 90 degrees two-theta), low angle first:
d = 5.471 Å, 16.20 deg, intensity 100
d = 3.647 Å, 24.40 deg, intensity 21
d = 2.578 Å, 34.80 deg, intensity 25
d = 2.451 Å, 36.66 deg, intensity 24
d = 2.241 Å, 40.25 deg, intensity 25
d = 2.005 Å, 45.22 deg, intensity 19
d = 1.782 Å, 51.27 deg, intensity 11
d = 1.419 Å, 65.82 deg, intensity 10

No. 4
Structure and simulated X-ray powder pattern of CoO2 (a crystal structure in the Materials Project, relaxed with PBE+U; Cu Kα (λ = 1.5418 Å)).
Neutral-atom scattering factors, no anomalous dispersion.

abc: 2.844 2.844 4.831
angles: 90.11 90.11 59.38
Fractional positions:
Co (0.000, 0.000, 0.000)
O (0.333, 0.333, 0.194)
O (0.667, 0.667, 0.806)

The 8 most intense peaks (10 to 90 degrees two-theta), low angle first:
d = 4.831 Å, 18.37 deg, intensity 100
d = 2.448 Å, 36.72 deg, intensity 13
d = 2.198 Å, 41.06 deg, intensity 17
d = 2.184 Å, 41.34 deg, intensity 33
d = 1.725 Å, 53.08 deg, intensity 8
d = 1.720 Å, 53.27 deg, intensity 22
d = 1.364 Å, 68.83 deg, intensity 8
d = 1.345 Å, 69.94 deg, intensity 9

No. 5
Structure and simulated X-ray powder pattern of CoO2 (a crystal structure in the Materials Project, relaxed with PBE+U; Cu Kα (λ = 1.5418 Å)).
Neutral-atom scattering factors, no anomalous dispersion.

abc: 5.673 5.673 13.925
angles: 90.00 90.00 120.00
Fractional positions:
Co (0.000, 0.000, 0.000)
Co (0.000, 0.000, 0.375)
Co (0.004, 0.502, 0.876)
Co (0.167, 0.333, 0.543)
Co (0.167, 0.833, 0.543)
Co (0.333, 0.667, 0.708)
Co (0.344, 0.172, 0.211)
Co (0.498, 0.502, 0.876)
Co (0.498, 0.996, 0.876)
Co (0.667, 0.833, 0.543)
Co (0.828, 0.172, 0.211)
Co (0.828, 0.656, 0.211)
O (0.000, 0.000, 0.135)
O (0.000, 0.000, 0.613)
O (0.038, 0.519, 0.622)
O (0.144, 0.288, 0.289)
O (0.144, 0.856, 0.289)
O (0.185, 0.370, 0.797)
O (0.185, 0.815, 0.797)
O (0.295, 0.147, 0.465)
O (0.333, 0.667, 0.473)
O (0.333, 0.667, 0.944)
O (0.345, 0.172, 0.944)
O (0.481, 0.519, 0.622)
O (0.481, 0.962, 0.622)
O (0.512, 0.023, 0.146)
O (0.512, 0.488, 0.146)
O (0.630, 0.815, 0.797)
O (0.667, 0.333, 0.282)
O (0.667, 0.333, 0.807)
O (0.712, 0.856, 0.289)
O (0.828, 0.172, 0.944)
O (0.828, 0.655, 0.944)
O (0.853, 0.147, 0.465)
O (0.853, 0.705, 0.465)
O (0.977, 0.488, 0.146)

The 8 most intense peaks (10 to 90 degrees two-theta), low angle first:
d = 4.637 Å, 19.14 deg, intensity 100
d = 4.014 Å, 22.14 deg, intensity 11
d = 2.420 Å, 37.15 deg, intensity 56
d = 2.318 Å, 38.86 deg, intensity 13
d = 2.007 Å, 45.17 deg, intensity 50
d = 1.546 Å, 59.84 deg, intensity 18
d = 1.420 Å, 65.75 deg, intensity 16
d = 1.418 Å, 65.85 deg, intensity 17